The following is a theoretical PXRD pattern of Mg2FeMo. It was derived from a crystal structure in Alexandria, relaxed with PBE, using Cu Ka.
No peak broadening, texture or thermal motion is included.

The 8 most intense peaks (5° ≤ 2θ ≤ 70°), by angle:
(0 0 1), d = 7.247 Å, I 100; (0 0 2), d = 3.623 Å, I 6; (1 0 1), d = 2.777 Å, I 10; (1 0 2), d = 2.314 Å, I 70; (1 1 0), d = 2.126 Å, I 34; (1 1 1), d = 2.040 Å, I 16; (1 0 3), d = 1.883 Å, I 23; (2 0 0), d = 1.503 Å, I 11

Crystal structure
Unit cell a=3.0069 b=3.0069 c=7.2470 alpha=90.00 beta=90.00 gamma=90.00
Space group P4mm (No. 99)
Unique sites:
Mg 0.0000 0.0000 0.0000 x1
Mg 0.5000 0.5000 0.3165 x1
Fe 0.5000 0.5000 0.7627 x1
Mo 0.0000 0.0000 0.5872 x1

The following is a theoretical PXRD pattern of Mg2FeMo. It was derived from a crystal structure in Alexandria, relaxed with PBE, using Cu Ka.
No peak broadening, texture or thermal motion is included.

The 8 most intense peaks (5° ≤ 2θ ≤ 70°), by angle:
(0 0 2), d = 4.646 Å, I 50; (1 1 0), d = 2.491 Å, I 19; (0 0 4), d = 2.323 Å, I 28; (1 1 2), d = 2.195 Å, I 100; (0 2 0), d = 2.176 Å, I 25; (0 2 2), d = 1.971 Å, I 10; (1 1 4), d = 1.699 Å, I 13; (0 2 4), d = 1.588 Å, I 16

Crystal structure
Unit cell a=3.0378 b=4.3518 c=9.2924 alpha=90.00 beta=90.00 gamma=90.00
Space group Immm (No. 71)
Unique sites:
Mg 0.0000 0.0000 0.2281 x4
Fe 0.0000 0.5000 0.5000 x2
Mo 0.0000 0.5000 0.0000 x2